1.
This entry pairs a crystal structure of PmSmCo with its calculated powder X-ray diffraction pattern. Radiation: Cu Ka. Structure: a structure optimized by DFT (PBE).
Intensities are scaled so that the largest is 100.

Atomic structure:
```
data_PmSmCo
_cell_length_a 7.4186
_cell_length_b 10.6604
_cell_length_c 4.0856
_cell_angle_alpha 90.00
_cell_angle_beta 90.00
_cell_angle_gamma 90.00
_symmetry_space_group_name_H-M 'P b c m'
_symmetry_Int_Tables_number 57
loop_
_symmetry_equiv_pos_as_xyz
'x,y,z'
'-x,-y,-z'
'-x,-y,z+1/2'
'x,y,-z+1/2'
'x,-y+1/2,-z'
'-x,y+1/2,z'
'-x,y+1/2,-z+1/2'
'x,-y+1/2,z+1/2'
loop_
_atom_site_label
_atom_site_type_symbol
_atom_site_fract_x
_atom_site_fract_y
_atom_site_fract_z
_atom_site_occupancy
Pm1 Pm 0.1243 0.1158 0.2500 1
Sm1 Sm 0.3928 0.6146 0.2500 1
Co1 Co 0.3566 0.1590 0.7500 1
```

Most intense lines, 2θ from 10° to 90°, in order of rising 2θ:
hkl, 2θ (°), I (rel.)
2 1 0, 25.42, 23
0 2 1, 27.51, 53
0 4 0, 33.68, 100
2 3 0, 34.97, 27
2 3 1, 41.56, 31
2 5 1, 54.48, 17

***

2.
This entry pairs a crystal structure of Al4IrRh with its calculated powder X-ray diffraction pattern. Radiation: Cu Ka. Structure: a structure optimized by DFT (PBE).
Intensities are scaled so that the largest is 100.

Atomic structure:
```
data_Al4IrRh
_cell_length_a 8.6285
_cell_length_b 3.5904
_cell_length_c 5.8829
_cell_angle_alpha 90.00
_cell_angle_beta 109.90
_cell_angle_gamma 90.00
_symmetry_space_group_name_H-M 'C 1 2/m 1'
_symmetry_Int_Tables_number 12
loop_
_symmetry_equiv_pos_as_xyz
'x,y,z'
'-x,-y,-z'
'-x,y,-z'
'x,-y,z'
'x+1/2,y+1/2,z'
'-x+1/2,-y+1/2,-z'
'-x+1/2,y+1/2,-z'
'x+1/2,-y+1/2,z'
loop_
_atom_site_label
_atom_site_type_symbol
_atom_site_fract_x
_atom_site_fract_y
_atom_site_fract_z
_atom_site_occupancy
Al1 Al 0.1605 0.0000 0.3310 1
Al2 Al 0.1622 0.0000 0.8305 1
Ir1 Ir 0.0000 0.5000 0.0000 1
Rh1 Rh 0.0000 0.5000 0.5000 1
```

Most intense lines, 2θ from 10° to 90°, in order of rising 2θ:
hkl, 2θ (°), I (rel.)
2 0 0, 21.91, 86
1 1 0, 27.16, 94
0 0 2, 32.38, 60
1 1 -2, 39.61, 100
3 1 0, 41.82, 87
2 0 2, 45.57, 67